For CsGaH2, a structure optimized by DFT (PBE) gives the theoretical powder X-ray diffraction pattern in this record (Cu Kα (weighted mean of Kα1 and Kα2)).
No peak broadening, texture or thermal motion is included.

Most intense lines, 10° ≤ 2θ ≤ 80°, by angle:
d/Å  2theta  I (rel.)  index
4.214  21.1  322  1 0 1
3.342  26.7  720  0 1 3
3.244  27.5  448  0 2 0
3.131  28.5  1000  1 1 2
2.571  34.9  196  1 2 1
2.259  39.9  171  2 0 0
2.077  43.6  218  1 0 5
1.871  48.7  273  2 1 3
1.852  49.2  386  2 2 0
1.749  52.3  263  1 2 5

Crystal structure
a b c (Å): 4.518 6.488 11.696
angles (deg): 90.00 90.00 90.00
Space group Imma (No. 74)
Unique sites:
Cs: 0.000 0.250 0.085 [4 per cell]
Ga: 0.000 0.250 0.701 [4 per cell]
H: 0.000 0.057 0.608 [8 per cell]

=====

For Na3PtF6, a structure optimized by DFT (PBE) gives the theoretical powder X-ray diffraction pattern in this record (Cu Kα (weighted mean of Kα1 and Kα2)).
No peak broadening, texture or thermal motion is included.

Most intense lines, 10° ≤ 2θ ≤ 80°, by angle:
d/Å  2theta  I (rel.)  index
5.384  16.5  433  0 0 2
4.800  18.5  1000  1 1 1
4.072  21.8  240  0 2 0
3.248  27.5  301  0 2 2
2.983  30.0  260  1 1 3
2.970  30.1  487  2 0 2
2.469  36.4  169  1 3 1
2.148  42.1  156  2 0 4
1.900  47.9  246  2 2 4
1.680  54.6  170  2 4 2

Crystal structure
a b c (Å): 7.123 8.145 10.768
angles (deg): 90.00 90.00 90.00
Space group Fmmm (No. 69)
Unique sites:
Na: 0.000 0.000 0.000 [4 per cell]
Na: 0.250 0.250 0.250 [8 per cell]
Pt: 0.000 0.000 0.500 [4 per cell]
F: 0.000 0.241 0.500 [8 per cell]
F: 0.230 0.000 0.369 [16 per cell]

=====

For AlSiS2, a structure optimized by DFT (PBE) gives the theoretical powder X-ray diffraction pattern in this record (Cu Kα (weighted mean of Kα1 and Kα2)).
No peak broadening, texture or thermal motion is included.

Most intense lines, 10° ≤ 2θ ≤ 80°, by angle:
d/Å  2theta  I (rel.)  index
8.080  11.0  1000  0 0 3
2.829  31.6  372  1 0 1
2.773  32.3  650  0 1 2
2.693  33.3  186  0 0 9
2.456  36.6  400  0 1 5
2.075  43.6  677  0 1 8
1.846  49.4  439  1 0 10
1.645  55.9  397  1 1 0
1.404  66.6  123  1 1 9
1.289  73.5  138  2 0 8

Crystal structure
a b c (Å): 3.2892 3.2892 24.2398
angles (deg): 90.00 90.00 120.00
Space group R-3m (No. 166, hexagonal axes)
Unique sites:
Al: 0.0000 0.0000 0.0000 [3 per cell]
Si: 0.0000 0.0000 0.5000 [3 per cell]
S: 0.0000 0.0000 0.1116 [6 per cell]

=====

For In2Hg17I2, a structure optimized by DFT (PBE) gives the theoretical powder X-ray diffraction pattern in this record (Cu Kα (weighted mean of Kα1 and Kα2)).
No peak broadening, texture or thermal motion is included.

Most intense lines, 10° ≤ 2θ ≤ 80°, by angle:
d/Å  2theta  I (rel.)  index
3.275  27.2  407  3 1 1
3.196  27.9  312  1 1 -3
2.988  29.9  275  1 3 -2
2.942  30.4  842  4 0 -2
2.889  31.0  1000  2 2 2
2.791  32.1  396  0 2 3
2.774  32.3  302  1 3 2
2.536  35.4  723  2 4 -1
2.433  36.9  298  4 2 1
2.266  39.8  336  2 2 -4

Crystal structure
a b c (Å): 12.585 11.242 10.000
angles (deg): 90.00 105.30 90.00
Space group C2/m (No. 12)
Unique sites:
In: 0.250 0.250 0.000 [4 per cell]
Hg: 0.000 0.000 0.000 [2 per cell]
Hg: 0.000 0.353 0.500 [4 per cell]
Hg: 0.078 0.250 0.171 [8 per cell]
Hg: 0.119 0.142 0.716 [8 per cell]
Hg: 0.122 0.000 0.393 [4 per cell]
Hg: 0.137 0.500 0.313 [4 per cell]
Hg: 0.250 0.250 0.500 [4 per cell]
I: 0.178 0.500 0.827 [4 per cell]